# 1
The following is a computed XRD peak list of Li4Fe3TeO8. It was derived from a cell relaxed with GGA+U, using Cu Kα (λ = 1.5418 Å).
Peak positions follow from Bragg's law for the DFT cell and can differ from measured ones.

The 12 most intense peaks (15 to 90 degrees two-theta), low angle first:
5.054 Å, 17.55°, I = 22; 4.861 Å, 18.25°, I = 100; 4.333 Å, 20.50°, I = 11; 2.649 Å, 33.84°, I = 54; 2.527 Å, 35.53°, I = 23; 2.166 Å, 41.69°, I = 76; 1.979 Å, 45.86°, I = 19; 1.648 Å, 55.79°, I = 15; 1.555 Å, 59.43°, I = 23; 1.510 Å, 61.42°, I = 20; 1.481 Å, 62.72°, I = 18; 1.263 Å, 75.21°, I = 10

Structural model:
```
16
Lattice="3.1105 1.7958 4.8607 -3.1105 1.7958 4.8607 0.0000 -3.5917 4.8607" Properties=species:S:1:pos:R:3 pbc="T T T"
Li 0.0000 0.0000 0.0000
Li -1.5552 -0.8979 4.8607
Li -1.5552 0.8979 9.7215
Li 0.0000 1.7958 4.8607
Fe -3.1105 0.0000 7.2911
Fe -1.5552 0.8979 2.4304
Fe 1.5552 0.8979 2.4304
Te 0.0000 0.0000 7.2911
O 0.0000 0.0000 3.4691
O 0.0000 -1.6081 6.1476
O -1.3927 0.8041 6.1476
O -1.3927 -0.8041 8.4346
O 1.3927 0.8041 6.1476
O 1.3927 -0.8041 8.4346
O 0.0000 1.6082 8.4346
O 0.0000 0.0000 11.1131
```

=====

# 2
The following is a computed XRD peak list of Li4Fe3TeO8. It was derived from a cell relaxed with GGA+U, using Cu Kα (λ = 1.5418 Å).
Peak positions follow from Bragg's law for the DFT cell and can differ from measured ones.

The 12 most intense peaks (15 to 90 degrees two-theta), low angle first:
5.018 Å, 17.68°, I = 9; 4.975 Å, 17.83°, I = 100; 2.661 Å, 33.68°, I = 18; 2.624 Å, 34.17°, I = 34; 2.509 Å, 35.79°, I = 14; 2.188 Å, 41.26°, I = 26; 2.170 Å, 41.62°, I = 50; 1.987 Å, 45.66°, I = 14; 1.666 Å, 55.14°, I = 10; 1.554 Å, 59.47°, I = 15; 1.527 Å, 60.62°, I = 14; 1.484 Å, 62.62°, I = 12

Structural model:
```
16
Lattice="5.2877 -3.0621 0.0000 5.2877 3.0621 0.0000 -3.4532 0.0000 5.0915" Properties=species:S:1:pos:R:3 pbc="T T T"
Li 0.0000 0.0000 0.0000
Li 0.9172 1.5310 2.5457
Li 0.9172 -1.5310 2.5457
Li 5.2877 0.0000 0.0000
Fe -1.7266 0.0000 2.5457
Fe 2.6438 1.5310 0.0000
Fe 2.6438 -1.5310 0.0000
Te 3.5611 0.0000 2.5457
O 4.3417 1.5380 1.2261
O -0.0428 0.0000 3.9474
O 1.8309 0.0000 1.2061
O 2.7805 1.5380 3.8654
O 4.3417 -1.5380 1.2261
O 5.2913 0.0000 3.8854
O 7.1650 0.0000 1.1441
O 2.7805 -1.5380 3.8654
```

=====

# 3
The following is a computed XRD peak list of Li2Fe3TeO8. It was derived from a cell relaxed with GGA+U, using Cu Kα (λ = 1.5418 Å).
Peak positions follow from Bragg's law for the DFT cell and can differ from measured ones.

The 12 most intense peaks (15 to 90 degrees two-theta), low angle first:
4.955 Å, 17.90°, I = 100; 4.323 Å, 20.54°, I = 8; 2.645 Å, 33.89°, I = 20; 2.602 Å, 34.47°, I = 32; 2.478 Å, 36.26°, I = 13; 2.162 Å, 41.79°, I = 48; 1.963 Å, 46.25°, I = 10; 1.663 Å, 55.25°, I = 13; 1.652 Å, 55.64°, I = 8; 1.546 Å, 59.82°, I = 15; 1.512 Å, 61.33°, I = 15; 1.484 Å, 62.62°, I = 7

Structural model:
```
14
Lattice="5.2342 -3.0247 0.0000 5.2342 3.0247 0.0000 -3.4974 0.0000 5.1080" Properties=species:S:1:pos:R:3 pbc="T T T"
Li -0.0030 0.0000 2.1018
Li 6.9741 0.0000 3.0062
Fe 2.6171 1.5123 0.0000
Fe 2.6171 -1.5123 0.0000
Fe 5.2342 0.0000 0.0000
Te 3.4855 0.0000 2.5540
O -0.0045 0.0000 4.1070
O 1.9184 0.0000 1.3107
O 4.2729 1.3603 1.3100
O 2.6982 1.3603 3.7981
O 4.2729 -1.3603 1.3100
O 2.6982 -1.3603 3.7981
O 5.0527 0.0000 3.7973
O 6.9756 0.0000 1.0010
```